Theoretical XRD peak list
Compound: PmFe2PbO5
Radiation: CuKα
Structure: the GGA+U geometry in Alexandria

Crystal structure
abc: 3.9749 3.9749 7.6770
angles: 90.00 90.00 90.00
Positions (direct):
Pm 0.0000 0.0000 0.0000
Fe 0.5000 0.5000 0.2380
Fe 0.5000 0.5000 0.7620
Pb 0.0000 0.0000 0.5000
O 0.0000 0.5000 0.1924
O 0.0000 0.5000 0.8076
O 0.5000 0.0000 0.1924
O 0.5000 0.0000 0.8076
O 0.5000 0.5000 0.5000

Principal peaks in the range 2θ = 10–90°, most intense first:
| two_theta | d (Å) | Rel. int. | h k l |
| --- | --- | --- | --- |
| 32.42 | 2.761 | 100.0 | 1 0 2 |
| 31.84 | 2.811 | 45.1 | 1 1 0 |
| 57.10 | 1.613 | 40.0 | 2 1 2 |
| 45.65 | 1.987 | 28.2 | 2 0 0 |
| 22.37 | 3.975 | 27.4 | 1 0 0 |
| 39.75 | 2.268 | 25.5 | 1 1 2 |
| 58.21 | 1.585 | 20.2 | 1 1 4 |
| 67.89 | 1.381 | 13.5 | 2 0 4 |